1.
# Hf3Ag4Sn4
Simulated powder diffraction line list, Cu Kα X-rays. Input: a structure optimized by DFT (GGA-PBE).

Most intense lines, 2θ = 10–90°, sorted by position:
- 2θ 15.4, I = 8.6
- 2θ 24.0, I = 24.1
- 2θ 27.8, I = 18.8
- 2θ 39.8, I = 100.0
- 2θ 47.0, I = 11.3
- 2θ 49.2, I = 5.8
- 2θ 57.5, I = 16.9
- 2θ 65.0, I = 8.0
- 2θ 72.2, I = 34.4
- 2θ 85.7, I = 11.3

Crystal structure
Unit cell a=7.858 b=7.858 c=7.858 alpha=131.85 beta=131.85 gamma=70.47
Sites, in units of the cell vectors:
Hf1 0.000 0.000 0.000
Hf2 0.250 0.750 0.500
Hf3 0.750 0.250 0.500
Ag1 0.133 0.623 0.000
Ag2 0.377 0.377 0.511
Ag3 0.623 0.133 0.000
Ag4 0.867 0.867 0.489
Sn1 0.000 0.500 0.500
Sn2 0.251 0.251 0.000
Sn3 0.500 0.000 0.500
Sn4 0.749 0.749 0.000

---

2.
# BaSrCd4
Simulated powder diffraction line list, Cu Kα X-rays. Input: a structure optimized by DFT (GGA-PBE).

Most intense lines, 2θ = 10–90°, sorted by position:
- 2θ 29.1, I = 57.7
- 2θ 29.5, I = 100.0
- 2θ 30.0, I = 37.3
- 2θ 34.1, I = 43.9
- 2θ 34.4, I = 53.1
- 2θ 35.9, I = 71.5
- 2θ 46.3, I = 22.0
- 2θ 49.3, I = 30.1
- 2θ 57.2, I = 31.8
- 2θ 62.7, I = 19.8

Crystal structure
Unit cell a=6.504 b=6.504 c=6.504 alpha=132.79 beta=100.88 gamma=97.58
Sites, in units of the cell vectors:
Ba1 0.000 0.000 0.000
Sr1 0.597 0.097 0.500
Cd1 0.031 0.720 0.312
Cd2 0.203 0.391 0.811
Cd3 0.408 0.720 0.688
Cd4 0.580 0.391 0.189

---

3.
# Pa2TcCl3
Simulated powder diffraction line list, Cu Kα X-rays. Input: a structure optimized by DFT (GGA-PBE).

Most intense lines, 2θ = 10–90°, sorted by position:
- 2θ 10.6, I = 19.4
- 2θ 21.2, I = 21.5
- 2θ 25.5, I = 100.0
- 2θ 32.9, I = 24.4
- 2θ 39.5, I = 66.9
- 2θ 39.9, I = 46.3
- 2θ 47.2, I = 25.8
- 2θ 54.4, I = 27.3
- 2θ 63.4, I = 23.9
- 2θ 82.5, I = 16.3

Crystal structure
Unit cell a=3.852 b=3.852 c=8.380 alpha=90.00 beta=90.00 gamma=90.00
Sites, in units of the cell vectors:
Pa1 0.000 0.500 0.235
Pa2 0.500 0.000 0.765
Tc1 0.500 0.500 0.000
Cl1 0.000 0.000 0.000
Cl2 0.000 0.500 0.624
Cl3 0.500 0.000 0.376

---

4.
# BaZrSi3O9
Simulated powder diffraction line list, Cu Kα X-rays. Input: a structure optimized by DFT (GGA-PBE).

Most intense lines, 2θ = 10–90°, sorted by position:
- 2θ 15.1, I = 29.3
- 2θ 23.4, I = 92.9
- 2θ 26.3, I = 25.1
- 2θ 30.5, I = 18.7
- 2θ 31.9, I = 100.0
- 2θ 40.7, I = 17.4
- 2θ 45.0, I = 26.3
- 2θ 46.5, I = 19.1
- 2θ 47.8, I = 16.2
- 2θ 50.1, I = 18.5

Crystal structure
Unit cell a=6.766 b=6.766 c=10.020 alpha=90.00 beta=90.00 gamma=120.00
Sites, in units of the cell vectors:
Ba1 0.000 0.000 0.000
Ba2 0.000 0.000 0.500
Zr1 0.667 0.333 0.000
Zr2 0.667 0.333 0.500
Si1 0.055 0.441 0.250
Si2 0.055 0.613 0.750
Si3 0.387 0.441 0.750
Si4 0.387 0.945 0.250
Si5 0.559 0.613 0.250
Si6 0.559 0.945 0.750
O1 0.132 0.419 0.750
O2 0.132 0.714 0.250
O3 0.286 0.419 0.250
O4 0.286 0.868 0.750
O5 0.401 0.085 0.116
O6 0.401 0.085 0.384
O7 0.401 0.316 0.616
O8 0.401 0.316 0.884
O9 0.581 0.714 0.750
O10 0.581 0.868 0.250
O11 0.684 0.085 0.616
O12 0.684 0.085 0.884
O13 0.684 0.599 0.116
O14 0.684 0.599 0.384
O15 0.915 0.316 0.116
O16 0.915 0.316 0.384
O17 0.915 0.599 0.616
O18 0.915 0.599 0.884

---

5.
# YTm2Al3CuSn2
Simulated powder diffraction line list, Cu Kα X-rays. Input: a structure optimized by DFT (GGA-PBE).

Most intense lines, 2θ = 10–90°, sorted by position:
- 2θ 14.1, I = 18.3
- 2θ 24.5, I = 35.0
- 2θ 32.4, I = 100.0
- 2θ 35.5, I = 49.1
- 2θ 37.8, I = 12.1
- 2θ 42.6, I = 20.3
- 2θ 43.2, I = 22.6
- 2θ 43.6, I = 18.1
- 2θ 49.8, I = 10.6
- 2θ 62.3, I = 15.3

Crystal structure
Unit cell a=4.245 b=7.274 c=7.274 alpha=120.25 beta=90.00 gamma=90.00
Sites, in units of the cell vectors:
Y1 0.000 0.000 0.000
Tm1 0.000 0.226 0.613
Tm2 0.000 0.613 0.226
Al1 0.500 0.387 0.387
Al2 0.500 0.612 0.835
Al3 0.500 0.835 0.612
Cu1 0.000 0.607 0.607
Sn1 0.500 0.281 0.945
Sn2 0.500 0.945 0.281

---

6.
# Dy3ScC2Se2
Simulated powder diffraction line list, Cu Kα X-rays. Input: a structure optimized by DFT (GGA-PBE).

Most intense lines, 2θ = 10–90°, sorted by position:
- 2θ 27.8, I = 30.5
- 2θ 28.7, I = 13.0
- 2θ 34.7, I = 100.0
- 2θ 41.5, I = 9.7
- 2θ 49.2, I = 27.9
- 2θ 50.7, I = 11.7
- 2θ 57.2, I = 11.7
- 2θ 61.6, I = 18.8
- 2θ 66.3, I = 14.6
- 2θ 82.6, I = 16.5

Crystal structure
Unit cell a=3.704 b=3.704 c=13.057 alpha=90.00 beta=90.00 gamma=120.00
Sites, in units of the cell vectors:
Dy1 0.000 0.000 0.000
Dy2 0.000 0.000 0.307
Dy3 0.333 0.667 0.513
Sc1 0.333 0.667 0.807
C1 0.667 0.333 0.411
C2 0.667 0.333 0.899
Se1 0.000 0.000 0.668
Se2 0.333 0.667 0.154

---

7.
# NdDyC2Br2
Simulated powder diffraction line list, Cu Kα X-rays. Input: a structure optimized by DFT (GGA-PBE).

Most intense lines, 2θ = 10–90°, sorted by position:
- 2θ 16.3, I = 34.3
- 2θ 26.2, I = 40.4
- 2θ 27.7, I = 94.5
- 2θ 29.9, I = 76.2
- 2θ 32.1, I = 46.6
- 2θ 32.3, I = 68.1
- 2θ 34.8, I = 100.0
- 2θ 44.2, I = 56.4
- 2θ 44.5, I = 48.6
- 2θ 46.9, I = 42.1

Crystal structure
Unit cell a=4.083 b=4.083 c=11.030 alpha=98.17 beta=98.17 gamma=56.58
Sites, in units of the cell vectors:
Nd1 0.000 0.000 0.000
Dy1 0.809 0.809 0.272
C1 0.322 0.322 0.111
C2 0.495 0.495 0.176
Br1 0.197 0.197 0.442
Br2 0.616 0.616 0.821

---

8.
# Dy2HoTm3CuTe2
Simulated powder diffraction line list, Cu Kα X-rays. Input: a structure optimized by DFT (GGA-PBE).

Most intense lines, 2θ = 10–90°, sorted by position:
- 2θ 31.3, I = 100.0
- 2θ 32.8, I = 71.4
- 2θ 33.8, I = 66.4
- 2θ 37.3, I = 30.0
- 2θ 40.3, I = 28.4
- 2θ 46.4, I = 19.7
- 2θ 51.2, I = 18.5
- 2θ 57.9, I = 28.5
- 2θ 60.7, I = 28.8
- 2θ 61.0, I = 14.2

Crystal structure
Unit cell a=3.916 b=8.344 c=8.344 alpha=119.98 beta=90.00 gamma=90.00
Sites, in units of the cell vectors:
Dy1 0.000 0.201 0.799
Dy2 0.000 0.799 0.201
Ho1 0.000 0.397 0.397
Tm1 0.500 0.041 0.041
Tm2 0.500 0.557 0.799
Tm3 0.500 0.799 0.557
Cu1 0.000 0.799 0.799
Te1 0.500 0.132 0.466
Te2 0.500 0.466 0.132

---

9.
# SrTm2FeH8
Simulated powder diffraction line list, Cu Kα X-rays. Input: a structure optimized by DFT (GGA-PBE).

Most intense lines, 2θ = 10–90°, sorted by position:
- 2θ 12.0, I = 53.0
- 2θ 25.7, I = 100.0
- 2θ 33.4, I = 84.2
- 2θ 39.7, I = 55.6
- 2θ 47.9, I = 19.9
- 2θ 52.8, I = 23.9
- 2θ 55.1, I = 37.2
- 2θ 63.9, I = 16.3
- 2θ 68.0, I = 28.8
- 2θ 83.6, I = 17.1

Crystal structure
Unit cell a=4.542 b=4.542 c=7.353 alpha=90.00 beta=90.00 gamma=120.00
Sites, in units of the cell vectors:
Sr1 0.000 0.000 0.000
Tm1 0.333 0.667 0.638
Tm2 0.667 0.333 0.362
Fe1 0.000 0.000 0.500
H1 0.167 0.335 0.365
H2 0.167 0.833 0.365
H3 0.333 0.667 0.924
H4 0.335 0.167 0.635
H5 0.665 0.833 0.365
H6 0.667 0.333 0.076
H7 0.833 0.167 0.635
H8 0.833 0.665 0.635

---

10.
# TbNdGa2Ni4
Simulated powder diffraction line list, Cu Kα X-rays. Input: a structure optimized by DFT (GGA-PBE).

Most intense lines, 2θ = 10–90°, sorted by position:
- 2θ 31.5, I = 100.0
- 2θ 35.1, I = 30.6
- 2θ 35.3, I = 34.8
- 2θ 39.4, I = 90.9
- 2θ 40.6, I = 21.1
- 2θ 42.1, I = 36.2
- 2θ 44.8, I = 36.0
- 2θ 45.3, I = 42.5
- 2θ 50.3, I = 22.0
- 2θ 65.6, I = 22.4

Crystal structure
Unit cell a=4.002 b=5.090 c=6.662 alpha=90.00 beta=90.00 gamma=90.00
Sites, in units of the cell vectors:
Tb1 0.000 0.000 0.000
Nd1 0.000 0.500 0.595
Ga1 0.500 0.000 0.625
Ga2 0.500 0.500 0.966
Ni1 0.000 0.000 0.412
Ni2 0.000 0.500 0.169
Ni3 0.500 0.247 0.291
Ni4 0.500 0.753 0.291

---

11.
# Nb4CuSi
Simulated powder diffraction line list, Cu Kα X-rays. Input: a structure optimized by DFT (GGA-PBE).

Most intense lines, 2θ = 10–90°, sorted by position:
- 2θ 35.5, I = 13.1
- 2θ 36.9, I = 100.0
- 2θ 41.2, I = 18.9
- 2θ 46.1, I = 27.9
- 2θ 46.3, I = 19.3
- 2θ 64.4, I = 12.4
- 2θ 64.6, I = 18.5
- 2θ 71.1, I = 9.9
- 2θ 74.8, I = 15.2
- 2θ 86.3, I = 10.9

Crystal structure
Unit cell a=6.224 b=6.224 c=5.059 alpha=90.00 beta=90.00 gamma=90.00
Sites, in units of the cell vectors:
Nb1 0.158 0.341 0.000
Nb2 0.158 0.659 0.500
Nb3 0.341 0.158 0.500
Nb4 0.341 0.842 0.000
Nb5 0.659 0.158 0.000
Nb6 0.659 0.842 0.500
Nb7 0.842 0.341 0.500
Nb8 0.842 0.659 0.000
Cu1 0.500 0.500 0.250
Cu2 0.500 0.500 0.750
Si1 0.000 0.000 0.250
Si2 0.000 0.000 0.750

---

12.
# La2Pr2Br5N
Simulated powder diffraction line list, Cu Kα X-rays. Input: a structure optimized by DFT (GGA-PBE).

Most intense lines, 2θ = 10–90°, sorted by position:
- 2θ 10.8, I = 36.1
- 2θ 27.8, I = 18.1
- 2θ 30.2, I = 46.2
- 2θ 30.6, I = 23.4
- 2θ 31.0, I = 100.0
- 2θ 33.9, I = 17.7
- 2θ 43.6, I = 27.6
- 2θ 44.0, I = 29.5
- 2θ 45.9, I = 18.7
- 2θ 55.9, I = 15.7

Crystal structure
Unit cell a=9.377 b=9.377 c=8.425 alpha=103.79 beta=103.79 gamma=24.34
Sites, in units of the cell vectors:
La1 0.141 0.141 0.077
La2 0.859 0.859 0.923
Pr1 0.499 0.499 0.203
Pr2 0.501 0.501 0.797
Br1 0.000 0.000 0.500
Br2 0.329 0.329 0.178
Br3 0.336 0.336 0.647
Br4 0.664 0.664 0.353
Br5 0.671 0.671 0.822
N1 0.000 0.000 0.000

---

13.
# Hg7P2O10
Simulated powder diffraction line list, Cu Kα X-rays. Input: a structure optimized by DFT (GGA-PBE).

Most intense lines, 2θ = 10–90°, sorted by position:
- 2θ 19.9, I = 40.6
- 2θ 20.5, I = 100.0
- 2θ 23.9, I = 41.8
- 2θ 29.3, I = 58.2
- 2θ 31.2, I = 34.1
- 2θ 32.1, I = 58.6
- 2θ 32.5, I = 30.0
- 2θ 34.2, I = 37.6
- 2θ 35.7, I = 66.1
- 2θ 46.1, I = 35.0

Crystal structure
Unit cell a=6.317 b=10.047 c=9.655 alpha=90.00 beta=95.68 gamma=90.00
Sites, in units of the cell vectors:
Hg1 0.000 0.000 0.000
Hg2 0.000 0.500 0.500
Hg3 0.261 0.137 0.652
Hg4 0.261 0.363 0.152
Hg5 0.312 0.612 0.815
Hg6 0.312 0.888 0.315
Hg7 0.487 0.653 0.413
Hg8 0.487 0.847 0.913
Hg9 0.513 0.153 0.087
Hg10 0.513 0.347 0.587
Hg11 0.688 0.112 0.685
Hg12 0.688 0.388 0.185
Hg13 0.739 0.637 0.848
Hg14 0.739 0.863 0.348
P1 0.002 0.653 0.147
P2 0.002 0.847 0.647
P3 0.998 0.153 0.353
P4 0.998 0.347 0.853
O1 0.003 0.700 0.702
O2 0.003 0.800 0.202
O3 0.048 0.655 0.992
O4 0.048 0.845 0.492
O5 0.177 0.571 0.234
O6 0.177 0.929 0.734
O7 0.227 0.101 0.340
O8 0.227 0.399 0.840
O9 0.315 0.534 0.567
O10 0.315 0.966 0.067
O11 0.685 0.034 0.933
O12 0.685 0.466 0.433
O13 0.773 0.601 0.160
O14 0.773 0.899 0.660
O15 0.823 0.071 0.266
O16 0.823 0.429 0.766
O17 0.952 0.155 0.508
O18 0.952 0.345 0.008
O19 0.997 0.200 0.798
O20 0.997 0.300 0.298